For Mn3Fe9C4, a structure optimized by DFT (GGA-PBE) gives the computed powder XRD pattern in this record (Cu Ka).
Neutral-atom scattering factors, no anomalous dispersion.

abc: 4.457 5.017 6.744
angles: 89.99 89.00 89.95
Fractional positions:
1 Mn 0.000 0.000 0.000
2 Mn 0.167 0.504 0.628
3 Mn 0.667 0.644 0.496
4 Fe 0.000 0.000 0.633
5 Fe 0.157 0.498 0.994
6 Fe 0.165 0.782 0.313
7 Fe 0.494 0.859 0.813
8 Fe 0.499 0.143 0.503
9 Fe 0.499 0.147 0.137
10 Fe 0.655 0.641 0.131
11 Fe 0.666 0.361 0.815
12 Fe 0.991 0.286 0.316
13 C 0.264 0.201 0.814
14 C 0.395 0.443 0.322
15 C 0.764 0.941 0.310
16 C 0.898 0.703 0.816

Principal peaks in the range 2θ from 10° to 80°, in order of rising 2θ:
d = 2.352 Å, rel. 71; d = 2.085 Å, rel. 53; d = 2.074 Å, rel. 50; d = 2.036 Å, rel. 89; d = 2.021 Å, rel. 100; d = 2.012 Å, rel. 95; d = 1.993 Å, rel. 89; d = 1.841 Å, rel. 47

For Sr2Ge2Pb, a structure optimized by DFT (GGA-PBE) gives the computed powder XRD pattern in this record (Cu Ka).
Neutral-atom scattering factors, no anomalous dispersion.

abc: 4.254 15.398 4.554
angles: 90.00 90.00 90.00
Fractional positions:
1 Sr 0.000 0.132 0.000
2 Sr 0.000 0.868 0.000
3 Sr 0.500 0.368 0.000
4 Sr 0.500 0.632 0.000
5 Ge 0.000 0.297 0.500
6 Ge 0.000 0.703 0.500
7 Ge 0.500 0.203 0.500
8 Ge 0.500 0.797 0.500
9 Pb 0.000 0.500 0.500
10 Pb 0.500 0.000 0.500

Principal peaks in the range 2θ from 10° to 80°, in order of rising 2θ:
d = 3.275 Å, rel. 23; d = 3.047 Å, rel. 100; d = 2.940 Å, rel. 64; d = 2.494 Å, rel. 44; d = 2.277 Å, rel. 23; d = 2.188 Å, rel. 20; d = 1.723 Å, rel. 27; d = 1.682 Å, rel. 27

For PmMg2Sc, a structure optimized by DFT (GGA-PBE) gives the computed powder XRD pattern in this record (Cu Ka).
Neutral-atom scattering factors, no anomalous dispersion.

abc: 7.482 7.482 7.482
angles: 90.00 90.00 90.00
Fractional positions:
1 Pm 0.000 0.000 0.000
2 Pm 0.000 0.500 0.500
3 Pm 0.500 0.000 0.500
4 Pm 0.500 0.500 0.000
5 Mg 0.250 0.250 0.250
6 Mg 0.250 0.250 0.750
7 Mg 0.250 0.750 0.250
8 Mg 0.250 0.750 0.750
9 Mg 0.750 0.250 0.250
10 Mg 0.750 0.250 0.750
11 Mg 0.750 0.750 0.250
12 Mg 0.750 0.750 0.750
13 Sc 0.000 0.000 0.500
14 Sc 0.000 0.500 0.000
15 Sc 0.500 0.000 0.000
16 Sc 0.500 0.500 0.500

Principal peaks in the range 2θ from 10° to 80°, in order of rising 2θ:
d = 4.320 Å, rel. 40; d = 3.741 Å, rel. 41; d = 2.645 Å, rel. 100; d = 2.256 Å, rel. 23; d = 2.160 Å, rel. 12; d = 1.871 Å, rel. 18; d = 1.673 Å, rel. 16; d = 1.527 Å, rel. 36

For Nb12TlTe15As, a structure optimized by DFT (GGA-PBE) gives the computed powder XRD pattern in this record (Cu Ka).
Neutral-atom scattering factors, no anomalous dispersion.

abc: 10.712 10.712 7.322
angles: 90.00 90.00 120.00
Fractional positions:
1 Nb 0.047 0.819 0.000
2 Nb 0.051 0.823 0.500
3 Nb 0.165 0.447 0.266
4 Nb 0.165 0.447 0.734
5 Nb 0.177 0.229 0.500
6 Nb 0.181 0.229 0.000
7 Nb 0.281 0.835 0.266
8 Nb 0.281 0.835 0.734
9 Nb 0.553 0.719 0.266
10 Nb 0.553 0.719 0.734
11 Nb 0.771 0.949 0.500
12 Nb 0.771 0.953 0.000
13 Tl 0.667 0.333 0.500
14 Te 0.000 0.000 0.249
15 Te 0.000 0.000 0.751
16 Te 0.328 0.050 0.000
17 Te 0.329 0.060 0.500
18 Te 0.333 0.667 0.000
19 Te 0.398 0.397 0.252
20 Te 0.398 0.397 0.748
21 Te 0.603 0.001 0.252
22 Te 0.603 0.001 0.748
23 Te 0.722 0.672 0.000
24 Te 0.731 0.671 0.500
25 Te 0.940 0.269 0.500
26 Te 0.950 0.278 0.000
27 Te 0.999 0.602 0.252
28 Te 0.999 0.602 0.748
29 As 0.333 0.667 0.500

Principal peaks in the range 2θ from 10° to 80°, in order of rising 2θ:
d = 3.092 Å, rel. 48; d = 2.874 Å, rel. 63; d = 2.573 Å, rel. 82; d = 2.532 Å, rel. 100; d = 2.161 Å, rel. 44; d = 1.840 Å, rel. 30; d = 1.492 Å, rel. 30; d = 1.246 Å, rel. 33

For Na2InGaF6, a structure optimized by DFT (GGA-PBE) gives the computed powder XRD pattern in this record (Cu Ka).
Neutral-atom scattering factors, no anomalous dispersion.

abc: 6.329 6.329 6.329
angles: 60.00 60.00 60.00
Fractional positions:
1 Na 0.250 0.250 0.250
2 Na 0.750 0.750 0.750
3 In 0.000 0.000 0.000
4 Ga 0.500 0.500 0.500
5 F 0.235 0.235 0.765
6 F 0.235 0.765 0.235
7 F 0.235 0.765 0.765
8 F 0.765 0.235 0.235
9 F 0.765 0.235 0.765
10 F 0.765 0.765 0.235

Principal peaks in the range 2θ from 10° to 80°, in order of rising 2θ:
d = 4.475 Å, rel. 100; d = 3.165 Å, rel. 100; d = 2.238 Å, rel. 59; d = 2.001 Å, rel. 42; d = 1.827 Å, rel. 41; d = 1.582 Å, rel. 35; d = 1.492 Å, rel. 19; d = 1.415 Å, rel. 18

For KCa2Cd2Sb3, a structure optimized by DFT (GGA-PBE) gives the computed powder XRD pattern in this record (Cu Ka).
Neutral-atom scattering factors, no anomalous dispersion.

abc: 12.485 4.843 16.098
angles: 90.00 90.00 90.00
Fractional positions:
1 K 0.090 0.250 0.039
2 K 0.410 0.750 0.539
3 K 0.590 0.250 0.461
4 K 0.910 0.750 0.961
5 Ca 0.100 0.750 0.423
6 Ca 0.143 0.250 0.777
7 Ca 0.357 0.750 0.277
8 Ca 0.400 0.250 0.923
9 Ca 0.600 0.750 0.077
10 Ca 0.643 0.250 0.723
11 Ca 0.857 0.750 0.223
12 Ca 0.900 0.250 0.577
13 Cd 0.123 0.250 0.279
14 Cd 0.202 0.250 0.573
15 Cd 0.298 0.750 0.073
16 Cd 0.377 0.750 0.779
17 Cd 0.623 0.250 0.221
18 Cd 0.702 0.250 0.927
19 Cd 0.798 0.750 0.427
20 Cd 0.877 0.750 0.721
21 Sb 0.082 0.750 0.625
22 Sb 0.110 0.750 0.189
23 Sb 0.210 0.750 0.907
24 Sb 0.290 0.250 0.407
25 Sb 0.390 0.250 0.689
26 Sb 0.418 0.250 0.125
27 Sb 0.582 0.750 0.875
28 Sb 0.610 0.750 0.311
29 Sb 0.710 0.750 0.593
30 Sb 0.790 0.250 0.093
31 Sb 0.890 0.250 0.811
32 Sb 0.918 0.250 0.375

Principal peaks in the range 2θ from 10° to 80°, in order of rising 2θ:
d = 4.347 Å, rel. 70; d = 4.069 Å, rel. 78; d = 3.097 Å, rel. 84; d = 3.004 Å, rel. 100; d = 2.773 Å, rel. 78; d = 2.484 Å, rel. 68; d = 2.421 Å, rel. 90; d = 2.254 Å, rel. 95

For K4Mg2H16S4O23, a structure optimized by DFT (GGA-PBE) gives the computed powder XRD pattern in this record (Cu Ka).
Neutral-atom scattering factors, no anomalous dispersion.

abc: 7.749 7.918 9.936
angles: 83.72 84.39 80.58
Fractional positions:
1 K 0.000 0.000 0.000
2 K 0.168 0.190 0.576
3 K 0.474 0.502 0.002
4 K 0.671 0.682 0.523
5 Mg 0.085 0.577 0.229
6 Mg 0.600 0.087 0.780
7 H 0.001 0.507 0.551
8 H 0.060 0.472 0.970
9 H 0.128 0.647 0.554
10 H 0.141 0.652 0.963
11 H 0.270 0.235 0.901
12 H 0.296 0.249 0.253
13 H 0.374 0.133 0.018
14 H 0.412 0.374 0.302
15 H 0.430 0.406 0.661
16 H 0.538 0.309 0.543
17 H 0.637 0.848 0.023
18 H 0.750 0.767 0.900
19 H 0.753 0.803 0.246
20 H 0.814 0.027 0.540
21 H 0.886 0.907 0.301
22 H 0.913 0.924 0.660
23 S 0.330 0.827 0.685
24 S 0.348 0.844 0.175
25 S 0.816 0.318 0.383
26 S 0.831 0.350 0.891
27 O 0.036 0.333 0.893
28 O 0.083 0.572 0.027
29 O 0.096 0.539 0.597
30 O 0.139 0.868 0.726
31 O 0.247 0.739 0.280
32 O 0.296 0.369 0.271
33 O 0.300 0.031 0.189
34 O 0.305 0.809 0.039
35 O 0.362 0.871 0.536
36 O 0.392 0.202 0.929
37 O 0.400 0.642 0.722
38 O 0.425 0.936 0.756
39 O 0.479 0.290 0.636
40 O 0.542 0.788 0.185
41 O 0.622 0.364 0.376
42 O 0.707 0.877 0.936
43 O 0.764 0.294 0.034
44 O 0.793 0.955 0.627
45 O 0.808 0.204 0.806
46 O 0.859 0.368 0.515
47 O 0.872 0.128 0.380
48 O 0.875 0.795 0.272
49 O 0.912 0.415 0.271

Principal peaks in the range 2θ from 10° to 80°, in order of rising 2θ:
d = 5.919 Å, rel. 71; d = 5.065 Å, rel. 39; d = 4.350 Å, rel. 35; d = 4.297 Å, rel. 53; d = 3.990 Å, rel. 100; d = 3.547 Å, rel. 35; d = 2.718 Å, rel. 48; d = 2.532 Å, rel. 63

For Nb6AlSn, a structure optimized by DFT (GGA-PBE) gives the computed powder XRD pattern in this record (Cu Ka).
Neutral-atom scattering factors, no anomalous dispersion.

abc: 5.272 5.272 5.272
angles: 90.00 90.00 90.00
Fractional positions:
1 Nb 0.000 0.241 0.500
2 Nb 0.000 0.759 0.500
3 Nb 0.241 0.500 0.000
4 Nb 0.500 0.000 0.241
5 Nb 0.500 0.000 0.759
6 Nb 0.759 0.500 0.000
7 Al 0.000 0.000 0.000
8 Sn 0.500 0.500 0.500

Principal peaks in the range 2θ from 10° to 80°, in order of rising 2θ:
d = 5.272 Å, rel. 8; d = 2.636 Å, rel. 26; d = 2.358 Å, rel. 100; d = 2.152 Å, rel. 58; d = 1.522 Å, rel. 9; d = 1.462 Å, rel. 23; d = 1.409 Å, rel. 30; d = 1.318 Å, rel. 13